1.
For PbC2, a crystal structure in Alexandria, relaxed with GGA-PBE gives the computed PXRD pattern in this record (copper Kα).
Lines closer than 0.1° are merged.

Peak list (10 most intense, 10° ≤ 2θ ≤ 80°, by intensity)
2θ (°), Rel. int.
31.00, 100
31.58, 95
27.48, 69
36.91, 59
27.15, 57
36.68, 42
26.07, 41
37.43, 35
37.97, 35
35.01, 29

Cell and atoms:
```
data_PbC2
_cell_length_a 3.4445
_cell_length_b 3.4445
_cell_length_c 10.2567
_cell_angle_alpha 91.11
_cell_angle_beta 91.11
_cell_angle_gamma 90.00
_symmetry_space_group_name_H-M 'P 1'
_symmetry_Int_Tables_number 1
_symmetry_space_group_name_Hall 'P 1'
loop_
_atom_site_label
_atom_site_type_symbol
_atom_site_fract_x
_atom_site_fract_y
_atom_site_fract_z
_atom_site_occupancy
Pb1 Pb 0.0000 0.0000 0.0000 1
Pb2 Pb 0.5141 0.5141 0.2372 1
C1 C 0.1886 0.4893 0.6258 1
C2 C 0.4893 0.1886 0.6258 1
C3 C 0.4894 0.7901 0.6258 1
C4 C 0.7901 0.4894 0.6258 1
```



2.
For PbC, a crystal structure in Alexandria, relaxed with GGA-PBE gives the computed PXRD pattern in this record (copper Kα).
Lines closer than 0.1° are merged.

Peak list (10 most intense, 10° ≤ 2θ ≤ 80°, by intensity)
2θ (°), Rel. int.
32.36, 100
35.13, 83
25.66, 68
23.07, 65
31.34, 60
30.16, 41
46.23, 31
54.59, 31
14.45, 31
58.83, 29

Cell and atoms:
```
data_PbC
_cell_length_a 6.2189
_cell_length_b 6.2189
_cell_length_c 7.7213
_cell_angle_alpha 125.46
_cell_angle_beta 125.46
_cell_angle_gamma 34.95
_symmetry_space_group_name_H-M 'P 1'
_symmetry_Int_Tables_number 1
_symmetry_space_group_name_Hall 'P 1'
loop_
_atom_site_label
_atom_site_type_symbol
_atom_site_fract_x
_atom_site_fract_y
_atom_site_fract_z
_atom_site_occupancy
Pb1 Pb 0.0000 0.0000 0.0000 1
Pb2 Pb 0.6482 0.6482 0.5030 1
Pb3 Pb 0.8401 0.8401 0.3159 1
C1 C 0.2258 0.2258 0.0527 1
C2 C 0.2534 0.2534 0.9105 1
C3 C 0.2876 0.2876 0.7757 1
```